# 1
Computed powder diffractogram
Compound: BaH2S5O6
Radiation: Cu Ka
Structure: a crystal structure in Alexandria, relaxed with PBE
Kinematic intensities with the Lorentz-polarization factor, no thermal factor.

Crystal structure
abc: 6.090 10.127 11.486
angles: 73.24 85.01 88.86
Fractional coordinates of all 28 atoms:
Ba  0.235  0.220  0.104
Ba  0.765  0.780  0.896
H  0.113  0.162  0.409
H  0.230  0.727  0.089
H  0.770  0.273  0.911
H  0.887  0.838  0.591
S  0.132  0.374  0.631
S  0.264  0.059  0.815
S  0.290  0.559  0.815
S  0.324  0.535  0.634
S  0.332  0.208  0.638
S  0.668  0.792  0.362
S  0.676  0.465  0.366
S  0.710  0.441  0.185
S  0.736  0.941  0.185
S  0.868  0.626  0.369
O  0.063  0.604  0.838
O  0.080  0.974  0.803
O  0.212  0.134  0.905
O  0.344  0.429  0.903
O  0.455  0.669  0.798
O  0.475  0.985  0.827
O  0.525  0.015  0.173
O  0.545  0.331  0.202
O  0.656  0.571  0.097
O  0.788  0.866  0.095
O  0.920  0.026  0.197
O  0.937  0.396  0.162

Peak list (8 most intense, 2θ from 10° to 90°, by angle)
- 2θ 13.83, intensity 27
- 2θ 16.12, intensity 73
- 2θ 17.24, intensity 100
- 2θ 18.42, intensity 22
- 2θ 20.79, intensity 27
- 2θ 23.43, intensity 26
- 2θ 24.64, intensity 33
- 2θ 26.13, intensity 36

=====

# 2
Computed powder diffractogram
Compound: Tb4TeSe3
Radiation: Cu Ka
Structure: a crystal structure in Alexandria, relaxed with PBE
Kinematic intensities with the Lorentz-polarization factor, no thermal factor.

Crystal structure
abc: 5.854 9.857 8.402
angles: 90.00 90.00 90.00
Fractional coordinates of all 16 atoms:
Tb  0.250  0.055  0.150
Tb  0.250  0.250  0.750
Tb  0.250  0.445  0.150
Tb  0.250  0.750  0.618
Tb  0.750  0.250  0.382
Tb  0.750  0.555  0.850
Tb  0.750  0.750  0.250
Tb  0.750  0.945  0.850
Te  0.250  0.750  0.250
Te  0.750  0.250  0.750
Se  0.250  0.250  0.406
Se  0.250  0.535  0.829
Se  0.250  0.965  0.829
Se  0.750  0.035  0.171
Se  0.750  0.465  0.171
Se  0.750  0.750  0.594

Peak list (8 most intense, 2θ from 10° to 90°, by angle)
- 2θ 20.90, intensity 81
- 2θ 21.15, intensity 45
- 2θ 29.18, intensity 43
- 2θ 30.54, intensity 100
- 2θ 33.26, intensity 43
- 2θ 34.66, intensity 47
- 2θ 37.30, intensity 37
- 2θ 46.86, intensity 41

=====

# 3
Computed powder diffractogram
Compound: Tc2IrPbO8
Radiation: Cu Ka
Structure: a crystal structure in Alexandria, relaxed with PBE
Kinematic intensities with the Lorentz-polarization factor, no thermal factor.

Crystal structure
abc: 8.924 8.924 8.924
angles: 35.58 35.58 35.58
Fractional coordinates of all 12 atoms:
Tc  0.245  0.245  0.245
Tc  0.755  0.755  0.755
Ir  0.500  0.500  0.500
Pb  0.000  0.000  0.000
O  0.130  0.555  0.660
O  0.316  0.316  0.316
O  0.340  0.445  0.870
O  0.445  0.870  0.340
O  0.555  0.660  0.130
O  0.660  0.130  0.555
O  0.684  0.684  0.684
O  0.870  0.340  0.445

Peak list (8 most intense, 2θ from 10° to 90°, by angle)
- 2θ 23.60, intensity 100
- 2θ 32.85, intensity 40
- 2θ 34.36, intensity 28
- 2θ 40.84, intensity 19
- 2θ 48.28, intensity 15
- 2θ 53.37, intensity 24
- 2θ 55.44, intensity 19
- 2θ 59.63, intensity 12

=====

# 4
Computed powder diffractogram
Compound: TbPm2Ge2Pt7
Radiation: Cu Ka
Structure: a crystal structure in Alexandria, relaxed with PBE
Kinematic intensities with the Lorentz-polarization factor, no thermal factor.

Crystal structure
abc: 4.102 4.102 14.134
angles: 96.04 96.04 89.37
Fractional coordinates of all 12 atoms:
Tb  0.000  0.000  0.000
Pm  0.115  0.115  0.357
Pm  0.885  0.885  0.643
Ge  0.407  0.407  0.745
Ge  0.593  0.593  0.255
Pt  0.057  0.556  0.154
Pt  0.375  0.375  0.571
Pt  0.444  0.943  0.846
Pt  0.500  0.500  0.000
Pt  0.556  0.057  0.154
Pt  0.625  0.625  0.429
Pt  0.943  0.444  0.846

Peak list (8 most intense, 2θ from 10° to 90°, by angle)
- 2θ 31.70, intensity 49
- 2θ 33.61, intensity 32
- 2θ 34.05, intensity 52
- 2θ 35.38, intensity 79
- 2θ 35.54, intensity 27
- 2θ 36.64, intensity 100
- 2θ 44.20, intensity 92
- 2θ 44.42, intensity 38

=====

# 5
Computed powder diffractogram
Compound: V2CoGe
Radiation: Cu Ka
Structure: a crystal structure in Alexandria, relaxed with PBE
Kinematic intensities with the Lorentz-polarization factor, no thermal factor.

Crystal structure
abc: 3.215 3.215 5.047
angles: 90.00 90.00 90.00
Fractional coordinates of all 4 atoms:
V  0.000  0.000  0.248
V  0.000  0.000  0.752
Co  0.500  0.500  0.000
Ge  0.500  0.500  0.500

Peak list (8 most intense, 2θ from 10° to 90°, by angle)
- 2θ 27.75, intensity 5
- 2θ 39.65, intensity 77
- 2θ 45.71, intensity 100
- 2θ 57.32, intensity 24
- 2θ 75.32, intensity 5
- 2θ 76.21, intensity 39
- 2θ 85.42, intensity 7
- 2θ 88.66, intensity 13

=====

# 6
Computed powder diffractogram
Compound: Cu3AsF12
Radiation: Cu Ka
Structure: a crystal structure in Alexandria, relaxed with PBE
Kinematic intensities with the Lorentz-polarization factor, no thermal factor.

Crystal structure
abc: 6.670 6.670 6.670
angles: 109.47 109.47 109.47
Fractional coordinates of all 16 atoms:
Cu  0.000  0.500  0.500
Cu  0.500  0.000  0.500
Cu  0.500  0.500  0.000
As  0.000  0.000  0.000
F  0.000  0.229  0.229
F  0.000  0.771  0.771
F  0.229  0.000  0.229
F  0.229  0.229  0.000
F  0.250  0.500  0.750
F  0.250  0.750  0.500
F  0.500  0.250  0.750
F  0.500  0.750  0.250
F  0.750  0.250  0.500
F  0.750  0.500  0.250
F  0.771  0.000  0.771
F  0.771  0.771  0.000

Peak list (8 most intense, 2θ from 10° to 90°, by angle)
- 2θ 23.10, intensity 100
- 2θ 32.89, intensity 25
- 2θ 47.21, intensity 26
- 2θ 53.19, intensity 35
- 2θ 58.73, intensity 10
- 2θ 68.98, intensity 14
- 2θ 73.83, intensity 15
- 2θ 78.56, intensity 5

=====

# 7
Computed powder diffractogram
Compound: Pm2PrErSe5
Radiation: Cu Ka
Structure: a crystal structure in Alexandria, relaxed with PBE
Kinematic intensities with the Lorentz-polarization factor, no thermal factor.

Crystal structure
abc: 5.106 5.106 11.029
angles: 90.00 90.00 90.00
Fractional coordinates of all 9 atoms:
Pm  0.000  0.000  0.166
Pm  0.000  0.000  0.834
Pr  0.500  0.500  0.500
Er  0.500  0.500  0.000
Se  0.000  0.000  0.500
Se  0.000  0.500  0.000
Se  0.500  0.000  0.000
Se  0.500  0.500  0.247
Se  0.500  0.500  0.753

Peak list (8 most intense, 2θ from 10° to 90°, by angle)
- 2θ 24.66, intensity 100
- 2θ 29.95, intensity 40
- 2θ 34.83, intensity 47
- 2θ 35.15, intensity 86
- 2θ 37.05, intensity 43
- 2θ 46.84, intensity 23
- 2θ 50.56, intensity 30
- 2θ 52.00, intensity 33

=====

# 8
Computed powder diffractogram
Compound: Nd6DyMg2
Radiation: Cu Ka
Structure: a crystal structure in Alexandria, relaxed with PBE
Kinematic intensities with the Lorentz-polarization factor, no thermal factor.

Crystal structure
abc: 11.313 11.313 5.195
angles: 90.00 90.00 63.05
Fractional coordinates of all 18 atoms:
Nd  0.000  0.173  0.250
Nd  0.000  0.827  0.750
Nd  0.016  0.614  0.250
Nd  0.173  0.000  0.750
Nd  0.291  0.512  0.750
Nd  0.386  0.984  0.250
Nd  0.488  0.709  0.750
Nd  0.512  0.291  0.250
Nd  0.614  0.016  0.750
Nd  0.709  0.488  0.250
Nd  0.827  0.000  0.250
Nd  0.984  0.386  0.750
Dy  0.245  0.755  0.250
Dy  0.755  0.245  0.750
Mg  0.208  0.311  0.250
Mg  0.311  0.208  0.750
Mg  0.689  0.792  0.250
Mg  0.792  0.689  0.750

Peak list (8 most intense, 2θ from 10° to 90°, by angle)
- 2θ 28.80, intensity 94
- 2θ 29.82, intensity 100
- 2θ 31.68, intensity 26
- 2θ 34.53, intensity 37
- 2θ 41.49, intensity 14
- 2θ 47.56, intensity 16
- 2θ 58.99, intensity 15
- 2θ 60.47, intensity 18

=====

# 9
Computed powder diffractogram
Compound: Th2Mg2Ge4Rh
Radiation: Cu Ka
Structure: a crystal structure in Alexandria, relaxed with PBE
Kinematic intensities with the Lorentz-polarization factor, no thermal factor.

Crystal structure
abc: 6.351 6.351 6.351
angles: 117.06 117.06 95.18
Fractional coordinates of all 9 atoms:
Th  0.250  0.750  0.500
Th  0.750  0.250  0.500
Mg  0.201  0.201  0.000
Mg  0.799  0.799  0.000
Ge  0.235  0.235  0.470
Ge  0.235  0.765  0.000
Ge  0.765  0.235  0.000
Ge  0.765  0.765  0.530
Rh  0.500  0.500  0.000

Peak list (8 most intense, 2θ from 10° to 90°, by angle)
- 2θ 18.93, intensity 35
- 2θ 28.22, intensity 90
- 2θ 34.20, intensity 100
- 2θ 38.39, intensity 62
- 2θ 48.32, intensity 41
- 2θ 58.36, intensity 34
- 2θ 66.76, intensity 27
- 2θ 72.03, intensity 29

=====

# 10
Computed powder diffractogram
Compound: Na4Ac3ScO8
Radiation: Cu Ka
Structure: a crystal structure in Alexandria, relaxed with PBE
Kinematic intensities with the Lorentz-polarization factor, no thermal factor.

Crystal structure
abc: 7.073 7.073 7.073
angles: 62.40 62.40 62.40
Fractional coordinates of all 16 atoms:
Na  0.000  0.000  0.000
Na  0.000  0.500  0.500
Na  0.500  0.000  0.500
Na  0.500  0.500  0.000
Ac  0.000  0.000  0.500
Ac  0.000  0.500  0.000
Ac  0.500  0.000  0.000
Sc  0.500  0.500  0.500
O  0.242  0.242  0.242
O  0.268  0.721  0.721
O  0.279  0.279  0.732
O  0.279  0.732  0.279
O  0.721  0.268  0.721
O  0.721  0.721  0.268
O  0.732  0.279  0.279
O  0.758  0.758  0.758

Peak list (8 most intense, 2θ from 10° to 90°, by angle)
- 2θ 15.63, intensity 100
- 2θ 28.62, intensity 63
- 2θ 30.06, intensity 71
- 2θ 35.30, intensity 89
- 2θ 38.82, intensity 25
- 2θ 49.77, intensity 32
- 2θ 51.77, intensity 28
- 2θ 52.50, intensity 27

=====

# 11
Computed powder diffractogram
Compound: PuAg2S3
Radiation: Cu Ka
Structure: a crystal structure in Alexandria, relaxed with PBE
Kinematic intensities with the Lorentz-polarization factor, no thermal factor.

Crystal structure
abc: 6.978 4.001 9.600
angles: 90.00 96.35 90.00
Fractional coordinates of all 12 atoms:
Pu  0.133  0.250  0.173
Pu  0.867  0.750  0.827
Ag  0.312  0.250  0.822
Ag  0.355  0.750  0.451
Ag  0.645  0.250  0.549
Ag  0.688  0.750  0.178
S  0.022  0.750  0.329
S  0.214  0.750  0.995
S  0.500  0.250  0.294
S  0.500  0.750  0.706
S  0.786  0.250  0.005
S  0.978  0.250  0.671

Peak list (8 most intense, 2θ from 10° to 90°, by angle)
- 2θ 14.94, intensity 65
- 2θ 27.87, intensity 69
- 2θ 28.06, intensity 34
- 2θ 28.34, intensity 36
- 2θ 31.05, intensity 100
- 2θ 37.30, intensity 31
- 2θ 45.37, intensity 70
- 2θ 47.45, intensity 34

=====

# 12
Computed powder diffractogram
Compound: GaFeCoNi
Radiation: Cu Ka
Structure: a crystal structure in Alexandria, relaxed with PBE
Kinematic intensities with the Lorentz-polarization factor, no thermal factor.

Crystal structure
abc: 3.779 3.779 6.603
angles: 90.00 90.00 90.00
Fractional coordinates of all 8 atoms:
Ga  0.000  0.000  0.000
Ga  0.500  0.500  0.500
Fe  0.000  0.000  0.500
Fe  0.500  0.500  0.000
Co  0.000  0.500  0.750
Co  0.500  0.000  0.250
Ni  0.000  0.500  0.250
Ni  0.500  0.000  0.750

Peak list (7 most intense, 2θ from 10° to 90°, by angle)
- 2θ 27.19, intensity 1
- 2θ 43.58, intensity 100
- 2θ 48.16, intensity 37
- 2θ 55.68, intensity 12
- 2θ 70.48, intensity 11
- 2θ 76.66, intensity 17
- 2θ 86.65, intensity 24

=====

- Number 12 is which compound?
  GaFeCoNi